Record 1
Al2FeIr: calculated powder diffraction line list (λ = 1.5418 Å (Cu Kα)), based on a DFT-relaxed cell (PBE, the Materials Project).
No peak broadening, texture or thermal motion is included.

Most intense lines, 2θ from 10° to 80°, in order of rising 2θ:
2θ (°)  I_rel
26.07  46
30.19  55
43.22  100
51.17  24
53.62  15
62.77  16
71.22  19
79.27  33

Crystal structure
abc: 4.1867 4.1867 4.1867
angles: 60.00 60.00 60.00
Positions (direct):
Al (0.2500, 0.2500, 0.2500)
Al (0.7500, 0.7500, 0.7500)
Fe (0.0000, 0.0000, 0.0000)
Ir (0.5000, 0.5000, 0.5000)

Record 2
MoWSeS3: calculated powder diffraction line list (λ = 1.5418 Å (Cu Kα)), based on a DFT-relaxed cell (PBE, the Materials Project).
No peak broadening, texture or thermal motion is included.

Most intense lines, 2θ from 10° to 80°, in order of rising 2θ:
2θ (°)  I_rel
12.17  100
14.61  27
32.11  24
32.96  14
34.44  13
37.85  54
45.95  31
57.22  16

Crystal structure
abc: 3.2203 3.2203 36.3712
angles: 90.00 90.00 120.00
Positions (direct):
Mo (0.0000, 0.0000, 0.0000)
Mo (0.3333, 0.6667, 0.1879)
W (0.0000, 0.0000, 0.3757)
W (0.3333, 0.6667, 0.5636)
Se (0.3333, 0.6667, 0.0471)
Se (0.3333, 0.6667, 0.9530)
S (0.0000, 0.0000, 0.1451)
S (0.0000, 0.0000, 0.2307)
S (0.0000, 0.0000, 0.5207)
S (0.0000, 0.0000, 0.6066)
S (0.3333, 0.6667, 0.3328)
S (0.3333, 0.6667, 0.4187)

Record 3
Rb2LaMgNb2O8: calculated powder diffraction line list (λ = 1.5418 Å (Cu Kα)), based on a DFT-relaxed cell (PBE, the Materials Project).
No peak broadening, texture or thermal motion is included.

Most intense lines, 2θ from 10° to 80°, in order of rising 2θ:
2θ (°)  I_rel
27.23  100
27.77  75
30.64  38
31.13  50
32.00  76
49.72  44
53.88  27
54.79  27

Crystal structure
abc: 3.8999 4.0138 16.9972
angles: 90.00 90.00 90.00
Positions (direct):
Rb (0.0000, 0.0000, 0.0000)
Rb (0.0000, 0.0000, 0.4163)
La (0.0000, 0.0000, 0.7078)
Mg (0.0000, 0.5000, 0.2075)
Nb (0.5000, 0.5000, 0.5769)
Nb (0.5000, 0.5000, 0.8388)
O (0.0000, 0.5000, 0.6007)
O (0.0000, 0.5000, 0.8151)
O (0.5000, 0.0000, 0.5987)
O (0.5000, 0.0000, 0.8168)
O (0.5000, 0.5000, 0.2065)
O (0.5000, 0.5000, 0.4678)
O (0.5000, 0.5000, 0.7078)
O (0.5000, 0.5000, 0.9478)

Record 4
MgAg5: calculated powder diffraction line list (λ = 1.5418 Å (Cu Kα)), based on a DFT-relaxed cell (PBE, the Materials Project).
No peak broadening, texture or thermal motion is included.

Most intense lines, 2θ from 10° to 80°, in order of rising 2θ:
2θ (°)  I_rel
35.25  25
37.08  27
40.00  100
52.09  16
63.27  16
68.80  19
75.66  19
77.53  13

Crystal structure
abc: 5.0919 5.0919 4.8491
angles: 90.00 90.00 120.00
Positions (direct):
Mg (0.0000, 0.0000, 0.0000)
Ag (0.0000, 0.3331, 0.5000)
Ag (0.3331, 0.0000, 0.5000)
Ag (0.3333, 0.6667, 0.0000)
Ag (0.6667, 0.3333, 0.0000)
Ag (0.6669, 0.6669, 0.5000)

Record 5
MgSi2: calculated powder diffraction line list (λ = 1.5418 Å (Cu Kα)), based on a DFT-relaxed cell (PBE, the Materials Project).
No peak broadening, texture or thermal motion is included.

Most intense lines, 2θ from 10° to 80°, in order of rising 2θ:
2θ (°)  I_rel
29.98  100
35.65  91
36.14  74
38.09  36
38.52  57
42.12  84
43.53  62
49.81  54

Crystal structure
abc: 3.7110 6.1943 10.2583
angles: 100.21 92.50 96.63
Positions (direct):
Mg (0.0000, 0.0000, 0.0000)
Mg (0.1705, 0.6981, 0.4973)
Mg (0.6183, 0.6784, 0.1835)
Mg (0.7985, 0.0821, 0.7014)
Si (0.0462, 0.5546, 0.9736)
Si (0.1230, 0.3781, 0.2687)
Si (0.2718, 0.2336, 0.4803)
Si (0.3473, 0.4392, 0.7025)
Si (0.4967, 0.3038, 0.9205)
Si (0.5739, 0.1365, 0.2066)
Si (0.7155, 0.9907, 0.4206)
Si (0.8997, 0.6820, 0.7553)

Record 6
DyYMg2: calculated powder diffraction line list (λ = 1.5418 Å (Cu Kα)), based on a DFT-relaxed cell (PBE, the Materials Project).
No peak broadening, texture or thermal motion is included.

Most intense lines, 2θ from 10° to 80°, in order of rising 2θ:
2θ (°)  I_rel
20.25  11
23.42  53
33.36  100
41.16  16
47.90  18
53.98  22
59.62  37
79.86  16

Crystal structure
abc: 5.3717 5.3717 5.3717
angles: 60.00 60.00 60.00
Positions (direct):
Dy (0.0000, 0.0000, 0.0000)
Y (0.5000, 0.5000, 0.5000)
Mg (0.2500, 0.2500, 0.2500)
Mg (0.7500, 0.7500, 0.7500)